[1]
Diffraction record for InHgS2. The powder X-ray diffraction pattern is calculated, not measured: it uses a DFT-relaxed cell (PBE, Alexandria) and Cu Ka.

Most intense lines, 2θ from 10° to 90°, sorted by position:
2theta  Rel. int.  h k l
22.4  98.9  2 0 0
31.4  100.0  1 1 2
31.9  59.1  2 2 0
45.4  96.9  3 1 2
51.6  30.2  4 2 0
66.5  23.2  5 1 2

Cell and atoms:
Cell: 7.9230 7.9230 6.6291 Å, 90.00 90.00 90.00°
Atoms (fractional coordinates):
In1 0.2500 0.2500 0.0016
In2 0.2500 0.2500 0.5016
In3 0.7500 0.7500 0.4984
In4 0.7500 0.7500 0.9984
Hg1 0.2500 0.7500 0.2500
Hg2 0.2500 0.7500 0.7500
Hg3 0.7500 0.2500 0.2500
Hg4 0.7500 0.2500 0.7500
S1 0.0815 0.0815 0.2516
S2 0.0815 0.4185 0.7516
S3 0.4185 0.0815 0.7516
S4 0.4185 0.4185 0.2516
S5 0.5815 0.5815 0.7484
S6 0.5815 0.9185 0.2484
S7 0.9185 0.5815 0.2484
S8 0.9185 0.9185 0.7484

---

[2]
Diffraction record for In2HgS4. The powder X-ray diffraction pattern is calculated, not measured: it uses a DFT-relaxed cell (PBE, Alexandria) and Cu Ka.

Most intense lines, 2θ from 10° to 90°, sorted by position:
2theta  Rel. int.  h k l
15.7  27.3  1 0 0
21.8  31.7  1 0 1
27.0  100.0  1 1 1
44.4  38.9  2 0 2
45.4  17.9  2 2 0
53.6  28.9  3 1 1

Cell and atoms:
Cell: 5.6446 5.6446 5.9016 Å, 90.00 90.00 90.00°
Atoms (fractional coordinates):
In1 0.0000 0.5000 0.0000
In2 0.5000 0.0000 0.0000
Hg1 0.0000 0.0000 0.5000
S1 0.2701 0.2701 0.7445
S2 0.2701 0.7299 0.2555
S3 0.7299 0.2701 0.2555
S4 0.7299 0.7299 0.7445